No. 1
This entry pairs a crystal structure of LiMn2F9 with its simulated powder X-ray diffraction pattern. Radiation: Cu Kα (weighted mean of Kα1 and Kα2). Structure: a crystal structure in Alexandria, relaxed with GGA+U.

The 10 most intense peaks (2θ from 10° to 90°), most intense first:
2θ = 20.4°, rel. 1000, hkl 0 1 -1
2θ = 21.3°, rel. 341, hkl 1 -1 1
2θ = 22.2°, rel. 261, hkl 0 1 1
2θ = 40.1°, rel. 135, hkl 1 1 2
2θ = 42.1°, rel. 131, hkl -2 1 4
2θ = 12.4°, rel. 126, hkl 0 0 2
2θ = 39.0°, rel. 122, hkl 2 -1 2
2θ = 50.4°, rel. 115, hkl -2 1 6
2θ = 25.0°, rel. 113, hkl 0 0 4
2θ = 34.9°, rel. 93, hkl 0 1 -5

Structure:
a = 5.054 Å, b = 5.057 Å, c = 14.491 Å
α = 95.04°, β = 95.03°, γ = 119.33°
Space group P1 (No. 1)
One atom of each set of equivalent atoms:
Li (0.000, 0.000, 0.000)
Li (0.034, 0.962, 0.500)
Mn (0.148, 0.462, 0.662)
Mn (0.262, 0.587, 0.853)
Mn (0.496, 0.110, 0.162)
Mn (0.622, 0.224, 0.353)
F (0.020, 0.325, 0.924)
F (0.094, 0.711, 0.593)
F (0.149, 0.793, 0.100)
F (0.226, 0.261, 0.761)
F (0.269, 0.912, 0.914)
F (0.295, 0.188, 0.261)
F (0.360, 0.983, 0.424)
F (0.395, 0.409, 0.592)
F (0.443, 0.356, 0.092)
F (0.468, 0.803, 0.753)
F (0.544, 0.884, 0.259)
F (0.612, 0.655, 0.918)
F (0.690, 0.574, 0.417)
F (0.746, 0.056, 0.093)
F (0.832, 0.114, 0.600)
F (0.838, 0.430, 0.253)
F (0.922, 0.509, 0.759)
F (0.947, 0.231, 0.414)

=====

No. 2
This entry pairs a crystal structure of Li2Mn7F18 with its simulated powder X-ray diffraction pattern. Radiation: Cu Kα (weighted mean of Kα1 and Kα2). Structure: a crystal structure in Alexandria, relaxed with GGA+U.

The 10 most intense peaks (2θ from 10° to 90°), most intense first:
2θ = 19.1°, rel. 1000, hkl 1 0 1
2θ = 15.9°, rel. 554, hkl 0 1 -1
2θ = 14.0°, rel. 498, hkl 1 -1 0
2θ = 27.2°, rel. 455, hkl 0 2 -1
2θ = 11.4°, rel. 443, hkl 0 0 1
2θ = 24.9°, rel. 419, hkl 1 -2 1
2θ = 31.8°, rel. 384, hkl 2 0 1
2θ = 35.0°, rel. 363, hkl -1 2 2
2θ = 51.4°, rel. 314, hkl 1 -4 2
2θ = 39.6°, rel. 308, hkl -2 3 1

Structure:
a = 7.217 Å, b = 7.661 Å, c = 7.885 Å
α = 97.32°, β = 92.93°, γ = 117.57°
Space group P-1 (No. 2)
One atom of each set of equivalent atoms:
Li (0.142, 0.169, 0.455)
Mn (0.120, 0.736, 0.133)
Mn (0.275, 0.110, 0.823)
Mn (0.313, 0.608, 0.788)
Mn (0.500, 0.000, 0.500)
F (0.028, 0.467, 0.687)
F (0.046, 0.968, 0.205)
F (0.182, 0.958, 0.547)
F (0.189, 0.491, 0.990)
F (0.232, 0.839, 0.901)
F (0.314, 0.343, 0.683)
F (0.422, 0.264, 0.074)
F (0.424, 0.849, 0.249)
F (0.436, 0.740, 0.602)

=====

No. 3
This entry pairs a crystal structure of LiMnF3 with its simulated powder X-ray diffraction pattern. Radiation: Cu Kα (weighted mean of Kα1 and Kα2). Structure: a crystal structure in Alexandria, relaxed with GGA+U.

The 10 most intense peaks (2θ from 10° to 90°), most intense first:
2θ = 21.5°, rel. 1000, hkl 1 0 1
2θ = 20.2°, rel. 520, hkl 0 2 0
2θ = 43.9°, rel. 280, hkl 2 0 2
2θ = 46.9°, rel. 226, hkl 1 4 1
2θ = 29.7°, rel. 188, hkl 1 2 1
2θ = 41.1°, rel. 187, hkl 0 4 0
2θ = 47.9°, rel. 150, hkl 3 0 1
2θ = 61.7°, rel. 146, hkl 2 4 2
2θ = 48.8°, rel. 130, hkl 2 2 2
2θ = 50.9°, rel. 110, hkl 1 0 3

Structure:
a = 6.057 Å, b = 8.782 Å, c = 5.637 Å
α = 90.00°, β = 90.00°, γ = 90.00°
Space group Pnma (No. 62)
One atom of each set of equivalent atoms:
Li (0.206, 0.250, 0.197)
Mn (0.000, 0.000, 0.500)
F (0.006, 0.750, 0.536)
F (0.203, 0.034, 0.196)

=====

No. 4
This entry pairs a crystal structure of LiMn2F5 with its simulated powder X-ray diffraction pattern. Radiation: Cu Kα (weighted mean of Kα1 and Kα2). Structure: a crystal structure in Alexandria, relaxed with GGA+U.

The 10 most intense peaks (2θ from 10° to 90°), most intense first:
2θ = 22.9°, rel. 1000, hkl 3 1 -1
2θ = 21.8°, rel. 744, hkl 1 1 -2
2θ = 19.6°, rel. 693, hkl 0 0 2
2θ = 29.4°, rel. 624, hkl 2 0 2
2θ = 28.1°, rel. 509, hkl 0 2 1
2θ = 30.1°, rel. 462, hkl 3 1 -3
2θ = 42.8°, rel. 339, hkl 6 0 -4
2θ = 36.3°, rel. 336, hkl 4 0 -4
2θ = 43.8°, rel. 314, hkl 1 3 -2
2θ = 40.2°, rel. 298, hkl 4 2 -3

Structure:
a = 14.198 Å, b = 6.777 Å, c = 10.297 Å
α = 90.00°, β = 118.46°, γ = 90.00°
Space group C2/c (No. 15)
One atom of each set of equivalent atoms:
Li (0.181, 0.120, 0.318)
Mn (0.074, 0.192, 0.518)
Mn (0.142, 0.364, 0.857)
F (0.000, 0.358, 0.621)
F (0.065, 0.056, 0.139)
F (0.132, 0.330, 0.390)
F (0.192, 0.079, 0.959)
F (0.207, 0.295, 0.715)

=====

No. 5
This entry pairs a crystal structure of LiMn2F7 with its simulated powder X-ray diffraction pattern. Radiation: Cu Kα (weighted mean of Kα1 and Kα2). Structure: a crystal structure in Alexandria, relaxed with GGA+U.

The 10 most intense peaks (2θ from 10° to 90°), most intense first:
2θ = 16.6°, rel. 1000, hkl 1 0 0
2θ = 18.6°, rel. 869, hkl 0 0 2
2θ = 23.8°, rel. 410, hkl 1 1 -1
2θ = 32.5°, rel. 262, hkl 0 1 3
2θ = 38.8°, rel. 214, hkl 1 2 1
2θ = 43.0°, rel. 185, hkl 1 2 2
2θ = 53.2°, rel. 182, hkl 3 1 -1
2θ = 59.1°, rel. 173, hkl 1 3 -3
2θ = 56.6°, rel. 170, hkl 1 1 5
2θ = 37.0°, rel. 162, hkl 2 1 -1

Structure:
a = 5.444 Å, b = 5.493 Å, c = 9.751 Å
α = 90.00°, β = 101.00°, γ = 90.00°
Space group P2/c (No. 13)
One atom of each set of equivalent atoms:
Li (0.000, 0.039, 0.250)
Mn (0.428, 0.252, 0.565)
F (0.156, 0.115, 0.619)
F (0.288, 0.403, 0.981)
F (0.346, 0.086, 0.387)
F (0.500, 0.400, 0.750)

=====

No. 6
This entry pairs a crystal structure of LiMnF5 with its simulated powder X-ray diffraction pattern. Radiation: Cu Kα (weighted mean of Kα1 and Kα2). Structure: a crystal structure in Alexandria, relaxed with GGA+U.

The 10 most intense peaks (2θ from 10° to 90°), most intense first:
2θ = 17.3°, rel. 1000, hkl 1 0 1
2θ = 23.2°, rel. 594, hkl 1 1 1
2θ = 22.5°, rel. 363, hkl 1 0 2
2θ = 42.9°, rel. 198, hkl 2 1 3
2θ = 29.2°, rel. 196, hkl 1 0 3
2θ = 38.4°, rel. 163, hkl 2 1 2
2θ = 44.9°, rel. 142, hkl 2 2 1
2θ = 33.1°, rel. 127, hkl 1 1 3
2θ = 27.3°, rel. 123, hkl 1 1 2
2θ = 48.6°, rel. 123, hkl 1 2 4

Structure:
a = 5.810 Å, b = 5.810 Å, c = 10.803 Å
α = 90.00°, β = 90.00°, γ = 90.00°
Space group P4_1 (No. 76)
One atom of each set of equivalent atoms:
Li (0.123, 0.252, 0.000)
Mn (0.210, 0.417, 0.293)
F (0.016, 0.393, 0.160)
F (0.044, 0.177, 0.350)
F (0.046, 0.663, 0.351)
F (0.231, 0.573, 0.979)
F (0.357, 0.413, 0.455)

=====

No. 7
This entry pairs a crystal structure of Li3Mn3F8 with its simulated powder X-ray diffraction pattern. Radiation: Cu Kα (weighted mean of Kα1 and Kα2). Structure: a crystal structure in Alexandria, relaxed with GGA+U.

The 10 most intense peaks (2θ from 10° to 90°), most intense first:
2θ = 40.2°, rel. 1000, hkl 0 2 4
2θ = 17.5°, rel. 741, hkl 0 0 3
2θ = 32.7°, rel. 524, hkl 0 2 1
2θ = 17.0°, rel. 397, hkl 1 0 1
2θ = 57.3°, rel. 330, hkl 2 2 0
2θ = 58.8°, rel. 307, hkl 2 0 8
2θ = 44.1°, rel. 174, hkl 2 0 5
2θ = 19.8°, rel. 168, hkl 0 1 2
2θ = 33.0°, rel. 160, hkl 1 1 3
2θ = 60.4°, rel. 132, hkl 2 2 3

Structure:
a = 6.4285 Å, b = 6.4285 Å, c = 15.2060 Å
α = 90.00°, β = 90.00°, γ = 120.00°
Space group R-3m (No. 166, hexagonal axes)
One atom of each set of equivalent atoms:
Li (0.0000, 0.0000, 0.0000)
Li (0.0000, 0.0000, 0.3790)
Mn (0.0000, 0.5000, 0.5000)
F (0.0000, 0.0000, 0.2490)
F (0.0200, 0.5100, 0.7504)

=====

No. 8
This entry pairs a crystal structure of LiMnF3 with its simulated powder X-ray diffraction pattern. Radiation: Cu Kα (weighted mean of Kα1 and Kα2). Structure: a crystal structure in Alexandria, relaxed with GGA+U.

The 10 most intense peaks (2θ from 10° to 90°), most intense first:
2θ = 32.3°, rel. 1000, hkl 2 1 0
2θ = 20.3°, rel. 695, hkl 1 1 0
2θ = 55.5°, rel. 599, hkl 3 1 2
2θ = 46.3°, rel. 562, hkl 3 0 1
2θ = 24.9°, rel. 509, hkl 1 1 1
2θ = 53.3°, rel. 323, hkl 3 2 0
2θ = 35.5°, rel. 274, hkl 2 1 1
2θ = 84.1°, rel. 143, hkl 5 0 2
2θ = 48.7°, rel. 138, hkl 3 1 1
2θ = 51.0°, rel. 125, hkl 2 2 2

Structure:
a = 6.199 Å, b = 6.199 Å, c = 6.199 Å
α = 90.00°, β = 90.00°, γ = 90.00°
Space group P2_13 (No. 198)
One atom of each set of equivalent atoms:
Li (0.090, 0.090, 0.090)
Mn (0.142, 0.642, 0.858)
F (0.018, 0.268, 0.369)

=====

No. 9
This entry pairs a crystal structure of Li5MnF8 with its simulated powder X-ray diffraction pattern. Radiation: Cu Kα (weighted mean of Kα1 and Kα2). Structure: a crystal structure in Alexandria, relaxed with GGA+U.

The 10 most intense peaks (2θ from 10° to 90°), most intense first:
2θ = 18.5°, rel. 1000, hkl 1 1 0
2θ = 44.4°, rel. 718, hkl 2 0 2
2θ = 40.7°, rel. 524, hkl 0 4 0
2θ = 61.8°, rel. 409, hkl 2 4 2
2θ = 24.0°, rel. 375, hkl 1 1 1
2θ = 15.2°, rel. 362, hkl 0 0 1
2θ = 37.5°, rel. 268, hkl 2 2 0
2θ = 25.2°, rel. 235, hkl 0 2 1
2θ = 36.0°, rel. 180, hkl 1 1 2
2θ = 36.9°, rel. 126, hkl 0 2 2

Structure:
a = 5.706 Å, b = 8.870 Å, c = 5.839 Å
α = 90.00°, β = 90.00°, γ = 90.00°
Space group Cmmm (No. 65)
One atom of each set of equivalent atoms:
Li (0.000, 0.000, 0.000)
Li (0.250, 0.250, 0.236)
Mn (0.000, 0.000, 0.500)
F (0.000, 0.227, 0.000)
F (0.000, 0.237, 0.500)
F (0.227, 0.000, 0.264)

=====

No. 10
This entry pairs a crystal structure of Li3Mn5F15 with its simulated powder X-ray diffraction pattern. Radiation: Cu Kα (weighted mean of Kα1 and Kα2). Structure: a crystal structure in Alexandria, relaxed with GGA+U.

The 10 most intense peaks (2θ from 10° to 90°), most intense first:
2θ = 22.5°, rel. 1000, hkl 0 0 1
2θ = 21.5°, rel. 609, hkl 3 1 0
2θ = 24.6°, rel. 555, hkl 3 2 0
2θ = 15.2°, rel. 374, hkl 2 1 0
2θ = 49.4°, rel. 313, hkl 5 5 0
2θ = 43.9°, rel. 288, hkl 6 2 0
2θ = 45.9°, rel. 285, hkl 0 0 2
2θ = 28.2°, rel. 282, hkl 4 1 0
2θ = 46.7°, rel. 189, hkl 6 3 0
2θ = 69.7°, rel. 188, hkl 5 5 2

Structure:
a = 13.041 Å, b = 13.041 Å, c = 3.957 Å
α = 90.00°, β = 90.00°, γ = 90.00°
Space group P4bm (No. 100)
One atom of each set of equivalent atoms:
Li (0.000, 0.000, 0.000)
Li (0.163, 0.337, 0.994)
Mn (0.000, 0.500, 0.995)
Mn (0.079, 0.787, 0.996)
F (0.000, 0.500, 0.495)
F (0.016, 0.340, 0.995)
F (0.063, 0.132, 0.997)
F (0.081, 0.785, 0.496)
F (0.234, 0.734, 0.996)